Starting from the PBE geometry in the Materials Project, the X-ray diffraction stick pattern of KBH4 was calculated for Cu Kα, 1.54184 Å.

Principal peaks in the range 10° ≤ 2θ ≤ 90°, by intensity:
- 35.79 deg, d = 2.509 Å, rel. 100.0, hkl 2 1 1
- 29.84 deg, d = 2.995 Å, rel. 96.5, hkl 2 0 2
- 28.04 deg, d = 3.182 Å, rel. 71.3, hkl 0 1 1
- 20.14 deg, d = 4.409 Å, rel. 49.4, hkl 0 0 2
- 21.78 deg, d = 4.080 Å, rel. 48.8, hkl 2 0 0
- 40.51 deg, d = 2.227 Å, rel. 38.3, hkl 0 1 3
- 46.46 deg, d = 1.955 Å, rel. 30.1, hkl 2 1 3
- 53.34 deg, d = 1.717 Å, rel. 21.4, hkl 4 1 1

Unit cell a=8.161 b=3.412 c=8.818 alpha=90.00 beta=90.00 gamma=90.00
Space group Pnma (No. 62)
One atom of each set of equivalent atoms:
K: 0.246 0.250 0.240 x4
B: 0.029 0.750 0.461 x4
H: 0.006 0.250 0.682 x4
H: 0.107 0.640 0.007 x8
H: 0.186 0.750 0.451 x4